Diffraction record for BaSiAg2TeS3. The powder X-ray diffraction pattern is simulated, not measured: it uses a PBE-relaxed structure and Cu Ka.
Lines closer than 0.1° are merged.

Structural model:
a = 6.4219 Å, b = 6.4219 Å, c = 6.4909 Å
α = 114.41°, β = 114.41°, γ = 96.64°
Sites, in units of the cell vectors:
Ba 0.0000 0.0000 0.0000
Si 0.5594 0.5594 0.0700
Ag 0.2776 0.7535 0.5272
Ag 0.7535 0.2776 0.5272
Te 0.1973 0.1973 0.6555
S 0.5021 0.8720 0.0473
S 0.5729 0.5729 0.4109
S 0.8720 0.5021 0.0473

Principal peaks in the range 2θ = 10–90°, by intensity:
2θ/deg	I (rel.)
27.96	100
25.53	24
29.41	22
44.83	21
37.50	21
26.65	20
47.39	19
49.37	18
35.30	17
50.88	16

Diffraction record for LaNdBe2Si2. The powder X-ray diffraction pattern is simulated, not measured: it uses a PBE-relaxed structure and Cu Ka.
Lines closer than 0.1° are merged.

Structural model:
a = 3.9744 Å, b = 3.9744 Å, c = 8.6342 Å
α = 90.00°, β = 90.00°, γ = 120.00°
Sites, in units of the cell vectors:
La 0.0000 0.0000 0.0000
Nd 0.0000 0.0000 0.5000
Be 0.3333 0.6667 0.2554
Be 0.6667 0.3333 0.7446
Si 0.3333 0.6667 0.7445
Si 0.6667 0.3333 0.2555

Principal peaks in the range 2θ = 10–90°, by intensity:
2θ/deg	I (rel.)
33.29	100
25.89	57
45.65	25
20.57	24
57.66	20
49.87	20
63.65	19
76.47	18
50.56	14
70.99	11

Diffraction record for Y2HoFe3Ni6. The powder X-ray diffraction pattern is simulated, not measured: it uses a PBE-relaxed structure and Cu Ka.
Lines closer than 0.1° are merged.

Structural model:
a = 8.5385 Å, b = 8.5385 Å, c = 8.5385 Å
α = 34.13°, β = 34.13°, γ = 34.13°
Sites, in units of the cell vectors:
Y 0.1387 0.1387 0.1387
Y 0.8613 0.8613 0.8613
Ho 0.0000 0.0000 0.0000
Fe 0.3332 0.3332 0.3332
Fe 0.5000 0.5000 0.5000
Fe 0.6668 0.6668 0.6668
Ni 0.0823 0.5818 0.5818
Ni 0.4182 0.4182 0.9177
Ni 0.4182 0.9177 0.4182
Ni 0.5818 0.0823 0.5818
Ni 0.5818 0.5818 0.0823
Ni 0.9177 0.4182 0.4182

Principal peaks in the range 2θ = 10–90°, by intensity:
2θ/deg	I (rel.)
42.53	100
41.80	43
35.84	40
33.22	37
36.30	35
69.01	22
75.97	22
42.33	18
45.14	18
45.87	15

Diffraction record for TaCoB. The powder X-ray diffraction pattern is simulated, not measured: it uses a PBE-relaxed structure and Cu Ka.
Lines closer than 0.1° are merged.

Structural model:
a = 3.2883 Å, b = 16.9771 Å, c = 5.8892 Å
α = 90.00°, β = 90.00°, γ = 90.00°
Sites, in units of the cell vectors:
Ta 0.2500 0.0709 0.0285
Ta 0.2500 0.1252 0.5218
Ta 0.2500 0.2500 0.1442
Ta 0.2500 0.3748 0.5218
Ta 0.2500 0.4291 0.0285
Ta 0.7500 0.5709 0.9715
Ta 0.7500 0.6252 0.4782
Ta 0.7500 0.7500 0.8558
Ta 0.7500 0.8748 0.4782
Ta 0.7500 0.9291 0.9715
Co 0.2500 0.5240 0.6442
Co 0.2500 0.6786 0.1503
Co 0.2500 0.7500 0.5071
Co 0.2500 0.8214 0.1503
Co 0.2500 0.9760 0.6442
Co 0.7500 0.0240 0.3558
Co 0.7500 0.1786 0.8497
Co 0.7500 0.2500 0.4929
Co 0.7500 0.3214 0.8497
Co 0.7500 0.4760 0.3558
B 0.2500 0.2500 0.7319
B 0.2500 0.5485 0.2672
B 0.2500 0.6495 0.7707
B 0.2500 0.8505 0.7707
B 0.2500 0.9515 0.2672
B 0.7500 0.0485 0.7328
B 0.7500 0.1495 0.2293
B 0.7500 0.3505 0.2293
B 0.7500 0.4515 0.7328
B 0.7500 0.7500 0.2681

Principal peaks in the range 2θ = 10–90°, by intensity:
2θ/deg	I (rel.)
41.17	100
44.29	47
30.37	37
27.63	24
45.43	23
31.47	23
55.92	18
46.54	17
69.09	16
47.54	14

Diffraction record for Cs2AgBi3Se6. The powder X-ray diffraction pattern is simulated, not measured: it uses a PBE-relaxed structure and Cu Ka.
Lines closer than 0.1° are merged.

Structural model:
a = 4.3232 Å, b = 4.3232 Å, c = 23.5747 Å
α = 90.08°, β = 90.08°, γ = 59.97°
Sites, in units of the cell vectors:
Cs 0.0000 0.0000 0.0000
Cs 0.9995 0.9995 0.4692
Ag 0.3339 0.3339 0.1388
Bi 0.3338 0.3338 0.8102
Bi 0.6662 0.6662 0.2956
Bi 0.6663 0.6663 0.6549
Se 0.0000 0.0000 0.7323
Se 0.3327 0.3327 0.3691
Se 0.3326 0.3326 0.5912
Se 0.6670 0.6670 0.1030
Se 0.6674 0.6674 0.8739
Se 0.9987 0.9987 0.2288

Principal peaks in the range 2θ = 10–90°, by intensity:
2θ/deg	I (rel.)
28.24	100
41.79	80
30.49	80
26.37	60
42.11	45
24.96	27
38.89	26
22.63	21
51.21	19
48.05	18

Diffraction record for DyYH4. The powder X-ray diffraction pattern is simulated, not measured: it uses a PBE-relaxed structure and Cu Ka.
Lines closer than 0.1° are merged.

Structural model:
a = 3.6497 Å, b = 3.6497 Å, c = 5.1614 Å
α = 90.00°, β = 90.00°, γ = 90.00°
Sites, in units of the cell vectors:
Dy 0.0000 0.0000 0.0000
Y 0.5000 0.5000 0.5000
H 0.0000 0.5000 0.2500
H 0.0000 0.5000 0.7500
H 0.5000 0.0000 0.2500
H 0.5000 0.0000 0.7500

Principal peaks in the range 2θ = 10–90°, by intensity:
2θ/deg	I (rel.)
29.99	100
34.76	48
59.39	43
49.98	37
81.24	17
83.82	16
62.32	12
17.18	7
24.39	6
73.37	6

Diffraction record for SrSiAs3Ir6. The powder X-ray diffraction pattern is simulated, not measured: it uses a PBE-relaxed structure and Cu Ka.
Lines closer than 0.1° are merged.

Structural model:
a = 7.2392 Å, b = 7.2392 Å, c = 3.9164 Å
α = 90.00°, β = 90.00°, γ = 120.00°
Sites, in units of the cell vectors:
Sr 0.0000 0.0000 0.0000
Si 0.3333 0.6667 0.0000
As 0.3805 0.1903 0.5000
As 0.8097 0.1903 0.5000
As 0.8097 0.6195 0.5000
Ir 0.2048 0.4096 0.5000
Ir 0.2048 0.7952 0.5000
Ir 0.5307 0.0614 0.0000
Ir 0.5307 0.4693 0.0000
Ir 0.5904 0.7952 0.5000
Ir 0.9386 0.4693 0.0000

Principal peaks in the range 2θ = 10–90°, by intensity:
2θ/deg	I (rel.)
36.72	100
44.70	48
43.30	26
26.84	23
46.37	22
14.13	19
37.97	18
50.42	18
69.64	16
65.30	16

Diffraction record for Sc2ZnSe4. The powder X-ray diffraction pattern is simulated, not measured: it uses a PBE-relaxed structure and Cu Ka.
Lines closer than 0.1° are merged.

Structural model:
a = 7.8267 Å, b = 7.8267 Å, c = 7.8267 Å
α = 60.00°, β = 60.00°, γ = 60.00°
Sites, in units of the cell vectors:
Sc 0.0000 0.0000 0.0000
Sc 0.0000 0.0000 0.5000
Sc 0.0000 0.5000 0.0000
Sc 0.5000 0.0000 0.0000
Zn 0.3750 0.3750 0.3750
Zn 0.6250 0.6250 0.6250
Se 0.2351 0.7550 0.7550
Se 0.2450 0.2450 0.2450
Se 0.2450 0.2450 0.7649
Se 0.2450 0.7649 0.2450
Se 0.7550 0.2351 0.7550
Se 0.7550 0.7550 0.2351
Se 0.7550 0.7550 0.7550
Se 0.7649 0.2450 0.2450

Principal peaks in the range 2θ = 10–90°, by intensity:
2θ/deg	I (rel.)
46.41	100
32.35	70
27.92	63
26.71	34
86.07	31
55.03	28
42.43	20
77.07	20
57.70	16
22.72	16

Diffraction record for PrNdAl2Pt4. The powder X-ray diffraction pattern is simulated, not measured: it uses a PBE-relaxed structure and Cu Ka.
Lines closer than 0.1° are merged.

Structural model:
a = 4.3860 Å, b = 4.3860 Å, c = 9.7309 Å
α = 90.00°, β = 90.00°, γ = 120.00°
Sites, in units of the cell vectors:
Pr 0.0000 0.0000 0.0000
Nd 0.3333 0.6667 0.5000
Al 0.6667 0.3333 0.2514
Al 0.6667 0.3333 0.7486
Pt 0.0000 0.0000 0.3243
Pt 0.0000 0.0000 0.6757
Pt 0.3333 0.6667 0.1794
Pt 0.3333 0.6667 0.8206

Principal peaks in the range 2θ = 10–90°, by intensity:
2θ/deg	I (rel.)
36.42	100
41.16	54
23.42	42
56.12	29
71.92	28
72.48	16
75.02	9
62.24	8
18.23	7
47.90	6

Diffraction record for AgI3O8. The powder X-ray diffraction pattern is simulated, not measured: it uses a PBE-relaxed structure and Cu Ka.
Lines closer than 0.1° are merged.

Structural model:
a = 12.8640 Å, b = 12.8640 Å, c = 12.8640 Å
α = 143.76°, β = 143.76°, γ = 52.19°
Sites, in units of the cell vectors:
Ag 0.1158 0.6158 0.5000
Ag 0.1297 0.1297 0.0000
Ag 0.3842 0.8842 0.5000
Ag 0.8703 0.8703 0.0000
I 0.0254 0.5521 0.0235
I 0.2438 0.2209 0.5142
I 0.2704 0.7562 0.9771
I 0.3471 0.3471 0.0000
I 0.4479 0.4714 0.4733
I 0.5286 0.0019 0.9765
I 0.5999 0.0999 0.5000
I 0.6529 0.6529 0.0000
I 0.7067 0.7296 0.4858
I 0.7791 0.2933 0.0229
I 0.9001 0.4001 0.5000
I 0.9981 0.9746 0.5267
O 0.0026 0.6240 0.7247
O 0.0096 0.3016 0.1730
O 0.0558 0.7899 0.2629
O 0.1236 0.2520 0.7861
O 0.1286 0.8365 0.8270
O 0.1490 0.3191 0.6475
O 0.1635 0.9904 0.2921
O 0.2070 0.9442 0.7341
O 0.2101 0.4730 0.2659
O 0.2563 0.5817 0.1606
O 0.3014 0.5458 0.7711
O 0.3760 0.1006 0.3786
O 0.4183 0.5789 0.6746
O 0.4211 0.0957 0.8394
O 0.4424 0.2431 0.3320
O 0.4542 0.2254 0.7557
O 0.4660 0.3375 0.2139
O 0.4697 0.6986 0.2443
O 0.4985 0.8510 0.1701
O 0.5270 0.7930 0.7371
O 0.6625 0.8764 0.1284
O 0.6716 0.5015 0.3525
O 0.6809 0.3284 0.8299
O 0.6984 0.8714 0.7079
O 0.7220 0.9974 0.6214
O 0.7480 0.5340 0.8716
O 0.7569 0.0889 0.1993
O 0.7746 0.5303 0.2289
O 0.8895 0.5576 0.8007
O 0.8994 0.2780 0.2753
O 0.9043 0.7437 0.3254
O 0.9111 0.1105 0.6680

Principal peaks in the range 2θ = 10–90°, by intensity:
2θ/deg	I (rel.)
27.11	100
31.63	38
53.64	36
21.99	31
45.34	21
47.79	16
34.88	15
28.03	11
38.86	10
44.85	9

Diffraction record for PrB3O6. The powder X-ray diffraction pattern is simulated, not measured: it uses a PBE-relaxed structure and Cu Ka.
Lines closer than 0.1° are merged.

Structural model:
a = 6.3515 Å, b = 6.3515 Å, c = 6.3533 Å
α = 117.12°, β = 117.12°, γ = 79.28°
Sites, in units of the cell vectors:
Pr 0.1967 0.8033 0.7500
Pr 0.8033 0.1967 0.2500
B 0.2083 0.3420 0.9159
B 0.2207 0.7793 0.2500
B 0.3420 0.2083 0.4159
B 0.6580 0.7917 0.5841
B 0.7793 0.2207 0.7500
B 0.7917 0.6580 0.0841
O 0.0055 0.7832 0.2890
O 0.2098 0.5863 0.0069
O 0.2125 0.3881 0.5008
O 0.2168 0.9945 0.2110
O 0.3881 0.2125 0.0008
O 0.4137 0.7902 0.4931
O 0.5863 0.2098 0.5069
O 0.6119 0.7875 0.9992
O 0.7832 0.0055 0.7890
O 0.7875 0.6119 0.4992
O 0.7902 0.4137 0.9931
O 0.9945 0.2168 0.7110

Principal peaks in the range 2θ = 10–90°, by intensity:
2θ/deg	I (rel.)
17.77	100
31.67	74
44.31	52
28.05	49
28.16	47
22.56	44
21.93	38
35.10	34
28.90	31
48.73	31

Diffraction record for Dy4CI2Br3. The powder X-ray diffraction pattern is simulated, not measured: it uses a PBE-relaxed structure and Cu Ka.
Lines closer than 0.1° are merged.

Structural model:
a = 9.5292 Å, b = 9.5292 Å, c = 8.2059 Å
α = 101.38°, β = 101.38°, γ = 23.42°
Sites, in units of the cell vectors:
Dy 0.0012 0.0012 0.3006
Dy 0.3694 0.3694 0.4401
Dy 0.6306 0.6306 0.5599
Dy 0.9988 0.9988 0.6994
C 0.5000 0.5000 0.5000
I 0.1651 0.1651 0.8488
I 0.8349 0.8349 0.1512
Br 0.1627 0.1627 0.3245
Br 0.5000 0.5000 0.0000
Br 0.8373 0.8373 0.6755

Principal peaks in the range 2θ = 10–90°, by intensity:
2θ/deg	I (rel.)
31.80	100
29.32	42
44.11	39
11.01	33
30.64	30
33.74	25
43.50	23
56.33	22
46.99	19
28.37	17